(1)
# PaIn7
Simulated powder diffractogram, Cu Kα X-rays. Input: a cell relaxed with PBE.
Neutral-atom scattering factors, no anomalous dispersion.

Structural model:
Cell: 9.414 9.414 9.414 Å, 90.00 90.00 90.00°
Space group Fm-3m (No. 225)
Asymmetric unit:
Pa  0.000  0.000  0.000 [4 per cell]
In  0.000  0.000  0.500 [4 per cell]
In  0.000  0.250  0.250 [24 per cell]

Main lines, by angle (2θ = 10–90°):
index	d_spacing	2theta	I/Imax
1 1 1	5.435	16.31	55
2 0 0	4.707	18.85	30
2 2 0	3.328	26.78	27
3 1 1	2.839	31.52	36
2 2 2	2.718	32.96	1000
4 0 0	2.354	38.24	500
3 3 1	2.160	41.82	17
4 2 0	2.105	42.96	16
4 4 0	1.664	55.19	337
6 2 2	1.419	65.80	393
4 4 4	1.359	69.13	113
8 0 0	1.177	81.85	54

***

(2)
# Ag7PbAu2
Simulated powder diffractogram, Cu Kα X-rays. Input: a cell relaxed with PBE.
Neutral-atom scattering factors, no anomalous dispersion.

Structural model:
Cell: 7.606 13.757 4.746 Å, 90.00 90.00 90.00°
Space group Cmmm (No. 65)
Asymmetric unit:
Ag  0.000  0.000  0.000 [2 per cell]
Ag  0.000  0.295  0.500 [4 per cell]
Ag  0.183  0.391  0.000 [8 per cell]
Pb  0.000  0.500  0.500 [2 per cell]
Au  0.000  0.202  0.000 [4 per cell]

Main lines, by angle (2θ = 10–90°):
index	d_spacing	2theta	I/Imax
1 1 0	6.657	13.30	185
0 0 1	4.746	18.70	381
1 1 1	3.864	23.02	410
2 0 0	3.803	23.39	320
2 4 0	2.551	35.18	389
0 0 2	2.373	37.92	442
1 5 1	2.272	39.68	1000
3 1 1	2.207	40.88	510
2 0 2	2.012	45.06	190
2 4 2	1.737	52.70	340
1 5 3	1.350	69.67	186
5 5 1	1.282	73.94	215